# CePm5Se6
Theoretical X-ray diffraction stick pattern, Cu Kα, 1.54184 Å. Input: DFT lattice parameters and positions (GGA-PBE).

Atomic structure:
```
data_CePm5Se6
_cell_length_a 7.255
_cell_length_b 12.597
_cell_length_c 7.278
_cell_angle_alpha 90.00
_cell_angle_beta 109.49
_cell_angle_gamma 90.00
_space_group_name_H-M_alt 'C 1 2/m 1'
_space_group_IT_number 12
_space_group_name_Hall '-C 2y'
loop_
_atom_site_label
_atom_site_fract_x
_atom_site_fract_y
_atom_site_fract_z
_atom_site_occupancy
Ce1 0.000 0.000 0.000 1
Pm1 0.000 0.170 0.500 1
Pm2 0.000 0.332 0.000 1
Pm3 0.000 0.500 0.500 1
Se1 0.249 0.000 0.749 1
Se2 0.249 0.166 0.249 1
```

Largest 12 diffraction maxima, in order of rising 2θ, 15 to 90 degrees two-theta:
2θ = 26.01°, I 16, (2 0 0); 2θ = 30.12°, I 100, (1 3 1); 2θ = 43.08°, I 50, (2 0 2); 2θ = 43.17°, I 25, (3 3 -1); 2θ = 53.45°, I 20, (0 0 4); 2θ = 53.60°, I 7, (4 0 0); 2θ = 62.61°, I 12, (4 0 -4); 2θ = 70.97°, I 17, (3 3 -5); 2θ = 71.10°, I 17, (3 3 3); 2θ = 78.96°, I 10, (1 3 5); 2θ = 79.04°, I 8, (4 6 -4); 2θ = 79.20°, I 6, (5 3 1)